This entry pairs a crystal structure of U2Ag4S5 with its calculated XRD peak list. Radiation: Cu Ka. Structure: the PBE geometry in Alexandria.

Main lines, low angle first (10 to 90 degrees two-theta):
2theta, I/Imax
26.37, 55
28.24, 62
31.45, 30
31.97, 100
35.48, 25
44.80, 58
46.87, 28
55.77, 36
56.10, 20
74.49, 17

Structural model:
Unit cell a=17.2239 b=17.2239 c=17.2239 alpha=13.49 beta=13.49 gamma=13.49
Positions (direct):
U 0.1378 0.1378 0.1378
U 0.8622 0.8622 0.8622
Ag 0.3102 0.3102 0.3102
Ag 0.4167 0.4167 0.4167
Ag 0.5833 0.5833 0.5833
Ag 0.6898 0.6898 0.6898
S 0.2246 0.2246 0.2246
S 0.3690 0.3690 0.3690
S 0.5000 0.5000 0.5000
S 0.6310 0.6310 0.6310
S 0.7754 0.7754 0.7754


This entry pairs a crystal structure of TbScC with its calculated XRD peak list. Radiation: Cu Ka. Structure: the PBE geometry in Alexandria.

Main lines, low angle first (10 to 90 degrees two-theta):
2theta, I/Imax
15.67, 87
28.65, 23
29.79, 40
29.98, 50
31.25, 100
31.65, 50
35.46, 41
36.25, 82
50.52, 25
52.72, 42

Structural model:
Unit cell a=6.0212 b=3.4705 c=6.3483 alpha=90.00 beta=110.13 gamma=90.00
Positions (direct):
Tb 0.9995 0.2500 0.2297
Tb 0.0005 0.7500 0.7703
Sc 0.4913 0.7500 0.2028
Sc 0.5087 0.2500 0.7972
C 0.2633 0.2500 0.0041
C 0.7367 0.7500 0.9959